Entry 1:
# Na5Fe3F14
Computed PXRD pattern, Cu Kα. Input: a GGA+U-relaxed structure.
Neutral-atom scattering factors, no anomalous dispersion.

Cell lengths 7.7401, 7.7401, 10.2401 Å; angles 90.00, 90.00, 90.00 degrees
Fractional coordinates of all 44 atoms:
Na (0.0000, 0.0000, 0.0000)
Na (0.2335, 0.2335, 0.2598)
Na (0.2335, 0.2335, 0.7402)
Na (0.2665, 0.7335, 0.2402)
Na (0.2665, 0.7335, 0.7598)
Na (0.5000, 0.5000, 0.5000)
Na (0.7335, 0.2665, 0.2402)
Na (0.7335, 0.2665, 0.7598)
Na (0.7665, 0.7665, 0.2598)
Na (0.7665, 0.7665, 0.7402)
Fe (0.0000, 0.0000, 0.5000)
Fe (0.0000, 0.5000, 0.0000)
Fe (0.0000, 0.5000, 0.5000)
Fe (0.5000, 0.0000, 0.0000)
Fe (0.5000, 0.0000, 0.5000)
Fe (0.5000, 0.5000, 0.0000)
F (0.0000, 0.0000, 0.3124)
F (0.0000, 0.0000, 0.6876)
F (0.0026, 0.2492, 0.5000)
F (0.0028, 0.6854, 0.1295)
F (0.0028, 0.6854, 0.8705)
F (0.1854, 0.4972, 0.3705)
F (0.1854, 0.4972, 0.6295)
F (0.2492, 0.0026, 0.5000)
F (0.2508, 0.5026, 0.0000)
F (0.3146, 0.9972, 0.1295)
F (0.3146, 0.9972, 0.8705)
F (0.4972, 0.1854, 0.3705)
F (0.4972, 0.1854, 0.6295)
F (0.4974, 0.7492, 0.0000)
F (0.5000, 0.5000, 0.1876)
F (0.5000, 0.5000, 0.8124)
F (0.5026, 0.2508, 0.0000)
F (0.5028, 0.8146, 0.3705)
F (0.5028, 0.8146, 0.6295)
F (0.6854, 0.0028, 0.1295)
F (0.6854, 0.0028, 0.8705)
F (0.7492, 0.4974, 0.0000)
F (0.7508, 0.9974, 0.5000)
F (0.8146, 0.5028, 0.3705)
F (0.8146, 0.5028, 0.6295)
F (0.9972, 0.3146, 0.1295)
F (0.9972, 0.3146, 0.8705)
F (0.9974, 0.7508, 0.5000)

Top 10 peaks for 15° ≤ 2θ ≤ 90°, low angle first:
5.120 Å, intensity 281
3.870 Å, intensity 381
3.279 Å, intensity 161
3.087 Å, intensity 1000
2.430 Å, intensity 153
1.935 Å, intensity 386
1.870 Å, intensity 313
1.640 Å, intensity 274
1.562 Å, intensity 164
1.544 Å, intensity 132



Entry 2:
# BaSrCr4O12
Computed PXRD pattern, Cu Kα. Input: a GGA+U-relaxed structure.
Neutral-atom scattering factors, no anomalous dispersion.

Cell lengths 5.4204, 5.4204, 7.6838 Å; angles 90.00, 90.00, 90.00 degrees
Fractional coordinates of all 18 atoms:
Ba (0.0000, 0.0000, 0.0000)
Sr (0.5000, 0.5000, 0.5000)
Cr (0.0000, 0.5000, 0.2511)
Cr (0.0000, 0.5000, 0.7489)
Cr (0.5000, 0.0000, 0.2511)
Cr (0.5000, 0.0000, 0.7489)
O (0.0000, 0.5000, 0.0000)
O (0.0000, 0.5000, 0.5000)
O (0.2525, 0.2525, 0.2535)
O (0.2525, 0.2525, 0.7465)
O (0.2525, 0.7475, 0.2535)
O (0.2525, 0.7475, 0.7465)
O (0.5000, 0.0000, 0.0000)
O (0.5000, 0.0000, 0.5000)
O (0.7475, 0.2525, 0.2535)
O (0.7475, 0.2525, 0.7465)
O (0.7475, 0.7475, 0.2535)
O (0.7475, 0.7475, 0.7465)

Top 10 peaks for 15° ≤ 2θ ≤ 90°, low angle first:
4.429 Å, intensity 828
2.712 Å, intensity 1000
2.313 Å, intensity 449
2.215 Å, intensity 107
1.921 Å, intensity 163
1.916 Å, intensity 323
1.760 Å, intensity 193
1.566 Å, intensity 368
1.356 Å, intensity 267
1.212 Å, intensity 105



Entry 3:
# SrCrO3
Computed PXRD pattern, Cu Kα. Input: a GGA+U-relaxed structure.
Neutral-atom scattering factors, no anomalous dispersion.

Cell lengths 13.6856, 5.5554, 5.5554 Å; angles 120.28, 90.00, 90.00 degrees
Fractional coordinates of all 30 atoms:
Sr (0.0930, 0.1669, 0.8331)
Sr (0.2500, 0.4965, 0.4963)
Sr (0.4070, 0.1669, 0.8331)
Sr (0.5930, 0.8331, 0.1669)
Sr (0.7500, 0.4963, 0.4965)
Sr (0.9070, 0.8331, 0.1669)
Cr (0.0000, 0.4943, 0.4943)
Cr (0.1551, 0.8233, 0.1605)
Cr (0.3449, 0.8233, 0.1605)
Cr (0.5000, 0.4943, 0.4943)
Cr (0.6551, 0.1605, 0.8233)
Cr (0.8449, 0.1605, 0.8233)
O (0.0811, 0.1804, 0.3407)
O (0.0814, 0.6712, 0.8324)
O (0.0824, 0.6745, 0.3358)
O (0.2500, 0.5147, 0.0055)
O (0.2500, 0.9857, 0.0143)
O (0.2500, 0.9868, 0.4695)
O (0.4176, 0.6745, 0.3358)
O (0.4189, 0.1804, 0.3407)
O (0.4186, 0.6712, 0.8324)
O (0.5811, 0.3407, 0.1804)
O (0.5814, 0.8324, 0.6712)
O (0.5824, 0.3358, 0.6745)
O (0.7500, 0.0055, 0.5147)
O (0.7500, 0.0143, 0.9857)
O (0.7500, 0.4695, 0.9868)
O (0.9176, 0.3358, 0.6745)
O (0.9189, 0.3407, 0.1804)
O (0.9186, 0.8324, 0.6712)

Top 10 peaks for 15° ≤ 2θ ≤ 90°, low angle first:
3.308 Å, intensity 369
2.787 Å, intensity 1000
2.778 Å, intensity 994
2.766 Å, intensity 490
2.123 Å, intensity 282
1.970 Å, intensity 226
1.964 Å, intensity 477
1.606 Å, intensity 341
1.600 Å, intensity 304
1.389 Å, intensity 218



Question: What is the formula in the second record?
Answer: BaSrCr4O12